(1)
Structure and calculated X-ray diffraction stick pattern of CaGa3Bi3 (a cell relaxed with GGA-PBE; Cu Kα X-rays).
Intensities are scaled so that the largest is 1000.

Structure:
```
CaGa3Bi3
1.0
7.928 0.000 0.000
0.000 7.928 0.000
0.000 0.000 7.928
Ca Ga Bi
2 6 6
Direct
0.000 0.000 0.000
0.500 0.500 0.500
0.000 0.250 0.500
0.000 0.750 0.500
0.250 0.500 0.000
0.500 0.000 0.250
0.500 0.000 0.750
0.750 0.500 0.000
0.000 0.500 0.250
0.000 0.500 0.750
0.250 0.000 0.500
0.500 0.250 0.000
0.500 0.750 0.000
0.750 0.000 0.500
```

The 10 most intense peaks (15 to 90 degrees two-theta), low angle first:
- 15.81 deg, I 963, (1 1 0)
- 22.43 deg, I 414, (2 0 0)
- 25.12 deg, I 829, (2 1 0)
- 27.56 deg, I 1000, (2 1 1)
- 35.82 deg, I 276, (3 1 0)
- 39.37 deg, I 801, (2 2 2)
- 42.67 deg, I 620, (3 2 1)
- 45.78 deg, I 478, (4 0 0)
- 66.75 deg, I 312, (4 4 0)
- 80.34 deg, I 318, (6 2 2)

---

(2)
Structure and calculated X-ray diffraction stick pattern of PuTh2Pt3 (a cell relaxed with GGA-PBE; Cu Kα X-rays).
Intensities are scaled so that the largest is 1000.

Structure:
```
PuTh2Pt3
1.0
4.217 0.000 0.000
0.000 4.217 0.000
0.000 0.000 17.352
Pu Th Pt
2 4 6
Direct
0.000 0.000 0.000
0.500 0.500 0.500
0.000 0.000 0.334
0.000 0.000 0.666
0.500 0.500 0.166
0.500 0.500 0.834
0.000 0.000 0.167
0.000 0.000 0.500
0.000 0.000 0.833
0.500 0.500 0.000
0.500 0.500 0.333
0.500 0.500 0.667
```

The 10 most intense peaks (15 to 90 degrees two-theta), low angle first:
- 29.97 deg, I 1000, (1 1 0)
- 30.92 deg, I 461, (0 0 6)
- 42.90 deg, I 385, (2 0 0)
- 43.60 deg, I 735, (1 1 6)
- 53.81 deg, I 402, (2 0 6)
- 62.28 deg, I 130, (2 2 0)
- 70.64 deg, I 181, (3 1 0)
- 71.15 deg, I 177, (2 2 6)
- 72.67 deg, I 167, (1 1 12)
- 79.08 deg, I 267, (3 1 6)

---

(3)
Structure and calculated X-ray diffraction stick pattern of BaBe2Br (a cell relaxed with GGA-PBE; Cu Kα X-rays).
Intensities are scaled so that the largest is 1000.

Structure:
```
BaBe2Br
1.0
4.192 0.000 0.000
-2.096 3.630 0.000
0.000 0.000 23.288
Ba Be Br
3 6 3
Direct
0.000 0.000 0.000
0.333 0.667 0.667
0.667 0.333 0.333
0.000 0.000 0.434
0.000 0.000 0.767
0.333 0.667 0.100
0.333 0.667 0.433
0.667 0.333 0.100
0.667 0.333 0.767
0.000 0.000 0.244
0.333 0.667 0.911
0.667 0.333 0.578
```

The 10 most intense peaks (15 to 90 degrees two-theta), low angle first:
- 24.82 deg, I 703, (1 0 1)
- 28.98 deg, I 1000, (1 0 4)
- 31.24 deg, I 512, (0 1 5)
- 36.64 deg, I 201, (1 0 7)
- 39.69 deg, I 386, (0 1 8)
- 43.16 deg, I 352, (1 1 0)
- 44.79 deg, I 238, (1 1 3)
- 52.83 deg, I 181, (0 2 4)
- 56.50 deg, I 205, (1 1 9)
- 65.55 deg, I 177, (1 1 12)